(1)
For Ba2MgTi3Tl2O10, a structure optimized by DFT (GGA-PBE) gives the theoretical X-ray powder pattern in this record (Cu Kα).
No peak broadening, texture or thermal motion is included.

Principal peaks in the range 10 to 80 degrees two-theta, sorted by position:
- 25.94 deg, I = 34
- 26.66 deg, I = 81
- 29.65 deg, I = 54
- 29.90 deg, I = 100
- 30.25 deg, I = 80
- 30.69 deg, I = 36
- 31.08 deg, I = 36
- 35.90 deg, I = 24
- 36.05 deg, I = 43
- 46.30 deg, I = 26
- 48.72 deg, I = 24
- 49.30 deg, I = 24

a = 3.744 Å, b = 4.983 Å, c = 16.324 Å
α = 82.77°, β = 87.50°, γ = 89.75°
Space group P1 (No. 1)
Inequivalent atoms, fractional coordinates:
Ba: 0.000 0.000 0.000
Ba: 0.408 0.164 0.494
Mg: 0.886 0.655 0.622
Ti: 0.478 0.448 0.114
Ti: 0.924 0.647 0.389
Ti: 0.953 0.192 0.255
Tl: 0.082 0.137 0.731
Tl: 0.526 0.543 0.844
O: 0.027 0.849 0.847
O: 0.383 0.805 0.637
O: 0.423 0.735 0.402
O: 0.455 0.292 0.239
O: 0.481 0.800 0.103
O: 0.498 0.384 0.004
O: 0.903 0.538 0.512
O: 0.931 0.292 0.370
O: 0.948 0.837 0.278
O: 0.975 0.323 0.134

***

(2)
For Ba2Mg3Ti4Tl2O12, a structure optimized by DFT (GGA-PBE) gives the theoretical X-ray powder pattern in this record (Cu Kα).
No peak broadening, texture or thermal motion is included.

Principal peaks in the range 10 to 80 degrees two-theta, sorted by position:
- 26.76 deg, I = 25
- 29.01 deg, I = 100
- 31.50 deg, I = 15
- 31.63 deg, I = 80
- 32.62 deg, I = 62
- 32.86 deg, I = 40
- 46.80 deg, I = 37
- 49.02 deg, I = 22
- 52.26 deg, I = 24
- 56.01 deg, I = 32
- 57.57 deg, I = 39
- 68.36 deg, I = 16

a = 3.882 Å, b = 3.882 Å, c = 45.444 Å
α = 90.00°, β = 90.00°, γ = 90.00°
Space group I4/mmm (No. 139)
Inequivalent atoms, fractional coordinates:
Ba: 0.000 0.000 0.173
Mg: 0.000 0.000 0.000
Mg: 0.000 0.000 0.078
Ti: 0.000 0.000 0.390
Ti: 0.000 0.000 0.471
Tl: 0.000 0.000 0.276
O: 0.000 0.000 0.226
O: 0.000 0.000 0.351
O: 0.000 0.500 0.031
O: 0.000 0.500 0.097

***

(3)
For Ba2MgTi3Tl2O10, a structure optimized by DFT (GGA-PBE) gives the theoretical X-ray powder pattern in this record (Cu Kα).
No peak broadening, texture or thermal motion is included.

Principal peaks in the range 10 to 80 degrees two-theta, sorted by position:
- 26.33 deg, I = 33
- 28.42 deg, I = 31
- 28.62 deg, I = 100
- 31.17 deg, I = 79
- 31.74 deg, I = 30
- 32.22 deg, I = 36
- 32.37 deg, I = 37
- 32.76 deg, I = 20
- 33.37 deg, I = 26
- 43.06 deg, I = 24
- 43.81 deg, I = 31
- 53.14 deg, I = 21

a = 3.989 Å, b = 4.133 Å, c = 16.987 Å
α = 83.32°, β = 84.99°, γ = 89.99°
Space group P1 (No. 1)
Inequivalent atoms, fractional coordinates:
Ba: 0.000 0.000 0.000
Ba: 0.358 0.195 0.492
Mg: 0.548 0.532 0.878
Ti: 0.456 0.477 0.114
Ti: 0.891 0.271 0.246
Ti: 0.930 0.745 0.378
Tl: 0.321 0.073 0.764
Tl: 0.780 0.628 0.646
O: 0.049 0.522 0.860
O: 0.113 0.131 0.646
O: 0.372 0.751 0.383
O: 0.421 0.338 0.228
O: 0.461 0.909 0.104
O: 0.502 0.476 0.995
O: 0.835 0.704 0.491
O: 0.889 0.267 0.362
O: 0.904 0.835 0.259
O: 0.955 0.407 0.125

***

(4)
For Ba2MgZrTiO6, a structure optimized by DFT (GGA-PBE) gives the theoretical X-ray powder pattern in this record (Cu Kα).
No peak broadening, texture or thermal motion is included.

Principal peaks in the range 10 to 80 degrees two-theta, sorted by position:
- 17.78 deg, I = 23
- 21.25 deg, I = 16
- 28.52 deg, I = 100
- 30.03 deg, I = 44
- 30.43 deg, I = 42
- 32.21 deg, I = 64
- 43.27 deg, I = 55
- 44.65 deg, I = 17
- 44.87 deg, I = 31
- 50.77 deg, I = 14
- 52.39 deg, I = 18
- 52.90 deg, I = 18

a = 5.876 Å, b = 5.952 Å, c = 9.441 Å
α = 90.00°, β = 90.00°, γ = 90.00°
Space group Immm (No. 71)
Inequivalent atoms, fractional coordinates:
Ba: 0.000 0.000 0.193
Mg: 0.000 0.000 0.500
Zr: 0.000 0.500 0.000
Ti: 0.000 0.500 0.500
O: 0.000 0.500 0.235
O: 0.235 0.245 0.500

***

(5)
For Ba2MgZrTiO6, a structure optimized by DFT (GGA-PBE) gives the theoretical X-ray powder pattern in this record (Cu Kα).
No peak broadening, texture or thermal motion is included.

Principal peaks in the range 10 to 80 degrees two-theta, sorted by position:
- 20.32 deg, I = 23
- 27.53 deg, I = 46
- 30.19 deg, I = 100
- 31.95 deg, I = 40
- 36.66 deg, I = 18
- 41.31 deg, I = 33
- 44.66 deg, I = 30
- 52.01 deg, I = 15
- 53.61 deg, I = 20
- 54.74 deg, I = 17
- 58.67 deg, I = 21
- 62.77 deg, I = 20

a = 10.254 Å, b = 5.923 Å, c = 6.543 Å
α = 90.00°, β = 121.60°, γ = 90.00°
Space group Cm (No. 8)
Inequivalent atoms, fractional coordinates:
Ba: 0.000 0.000 0.000
Ba: 0.047 0.500 0.640
Mg: 0.170 0.000 0.510
Zr: 0.333 0.000 0.997
Ti: 0.299 0.500 0.395
O: 0.064 0.000 0.680
O: 0.067 0.500 0.193
O: 0.308 0.245 0.678
O: 0.315 0.252 0.194

***

(6)
For Ba2MgZrTiO6, a structure optimized by DFT (GGA-PBE) gives the theoretical X-ray powder pattern in this record (Cu Kα).
No peak broadening, texture or thermal motion is included.

Principal peaks in the range 10 to 80 degrees two-theta, sorted by position:
- 17.54 deg, I = 23
- 26.45 deg, I = 24
- 29.30 deg, I = 100
- 30.63 deg, I = 91
- 35.52 deg, I = 16
- 39.88 deg, I = 31
- 42.90 deg, I = 33
- 51.96 deg, I = 20
- 52.80 deg, I = 41
- 56.08 deg, I = 19
- 60.77 deg, I = 20
- 69.59 deg, I = 17

a = 6.0968 Å, b = 6.0968 Å, c = 17.5098 Å
α = 90.00°, β = 90.00°, γ = 120.00°
Space group R3m (No. 160, hexagonal axes)
Inequivalent atoms, fractional coordinates:
Ba: 0.0000 0.0000 0.0000
Ba: 0.0000 0.0000 0.4219
Mg: 0.0000 0.0000 0.7785
Zr: 0.0000 0.0000 0.2028
Ti: 0.0000 0.0000 0.6188
O: 0.0155 0.5078 0.9568
O: 0.1781 0.3562 0.8000

***

(7)
For Ba4MgTl8O16, a structure optimized by DFT (GGA-PBE) gives the theoretical X-ray powder pattern in this record (Cu Kα).
No peak broadening, texture or thermal motion is included.

Principal peaks in the range 10 to 80 degrees two-theta, sorted by position:
- 15.88 deg, I = 30
- 27.43 deg, I = 94
- 28.75 deg, I = 93
- 29.29 deg, I = 91
- 29.78 deg, I = 63
- 29.96 deg, I = 74
- 30.37 deg, I = 100
- 41.12 deg, I = 38
- 41.64 deg, I = 32
- 51.36 deg, I = 33
- 52.35 deg, I = 41
- 59.93 deg, I = 25

a = 11.175 Å, b = 3.558 Å, c = 12.214 Å
α = 90.00°, β = 92.95°, γ = 90.00°
Space group Pm (No. 6)
Inequivalent atoms, fractional coordinates:
Ba: 0.000 0.000 0.000
Ba: 0.007 0.500 0.474
Ba: 0.488 0.000 0.216
Ba: 0.508 0.500 0.684
Mg: 0.544 0.000 0.967
Tl: 0.170 0.500 0.235
Tl: 0.187 0.500 0.721
Tl: 0.290 0.000 0.950
Tl: 0.331 0.000 0.452
Tl: 0.681 0.500 0.450
Tl: 0.728 0.500 0.924
Tl: 0.814 0.000 0.228
Tl: 0.862 0.000 0.708
O: 0.058 0.000 0.654
O: 0.137 0.000 0.359
O: 0.159 0.500 0.904
O: 0.217 0.000 0.121
O: 0.287 0.500 0.561
O: 0.332 0.000 0.773
O: 0.363 0.500 0.324
O: 0.479 0.500 0.013
O: 0.544 0.000 0.500
O: 0.622 0.000 0.826
O: 0.665 0.500 0.267
O: 0.718 0.000 0.046
O: 0.771 0.500 0.622
O: 0.831 0.000 0.412
O: 0.898 0.500 0.850
O: 0.942 0.500 0.172

***

(8)
For Ba4MgTl8O16, a structure optimized by DFT (GGA-PBE) gives the theoretical X-ray powder pattern in this record (Cu Kα).
No peak broadening, texture or thermal motion is included.

Principal peaks in the range 10 to 80 degrees two-theta, sorted by position:
- 15.63 deg, I = 26
- 27.12 deg, I = 64
- 27.94 deg, I = 100
- 28.41 deg, I = 62
- 30.04 deg, I = 55
- 30.19 deg, I = 59
- 30.44 deg, I = 81
- 34.22 deg, I = 29
- 41.00 deg, I = 31
- 41.45 deg, I = 29
- 51.28 deg, I = 37
- 52.38 deg, I = 27

a = 11.348 Å, b = 3.493 Å, c = 12.573 Å
α = 90.00°, β = 91.90°, γ = 90.00°
Space group Pm (No. 6)
Inequivalent atoms, fractional coordinates:
Ba: 0.000 0.000 0.000
Ba: 0.013 0.500 0.492
Ba: 0.513 0.000 0.198
Ba: 0.540 0.500 0.654
Mg: 0.461 0.500 0.890
Tl: 0.174 0.500 0.251
Tl: 0.184 0.500 0.730
Tl: 0.292 0.000 0.991
Tl: 0.350 0.000 0.440
Tl: 0.706 0.500 0.441
Tl: 0.724 0.500 0.934
Tl: 0.832 0.000 0.228
Tl: 0.853 0.000 0.720
O: 0.029 0.000 0.652
O: 0.148 0.000 0.372
O: 0.173 0.500 0.942
O: 0.193 0.000 0.142
O: 0.334 0.500 0.549
O: 0.376 0.500 0.312
O: 0.411 0.000 0.835
O: 0.434 0.500 0.042
O: 0.577 0.000 0.491
O: 0.661 0.000 0.817
O: 0.689 0.500 0.260
O: 0.744 0.000 0.048
O: 0.775 0.500 0.619
O: 0.844 0.000 0.409
O: 0.895 0.500 0.855
O: 0.953 0.500 0.178

***

(9)
For Ba4MgTl8O16, a structure optimized by DFT (GGA-PBE) gives the theoretical X-ray powder pattern in this record (Cu Kα).
No peak broadening, texture or thermal motion is included.

Principal peaks in the range 10 to 80 degrees two-theta, sorted by position:
- 27.51 deg, I = 91
- 28.73 deg, I = 93
- 29.20 deg, I = 88
- 29.72 deg, I = 55
- 29.88 deg, I = 87
- 30.26 deg, I = 100
- 33.77 deg, I = 43
- 41.12 deg, I = 53
- 41.84 deg, I = 26
- 51.16 deg, I = 41
- 52.20 deg, I = 42
- 59.98 deg, I = 27

a = 10.969 Å, b = 3.571 Å, c = 12.459 Å
α = 90.00°, β = 93.82°, γ = 90.00°
Space group Pm (No. 6)
Inequivalent atoms, fractional coordinates:
Ba: 0.000 0.000 0.000
Ba: 0.002 0.500 0.457
Ba: 0.494 0.000 0.785
Ba: 0.534 0.500 0.262
Mg: 0.241 0.500 0.578
Tl: 0.144 0.500 0.774
Tl: 0.198 0.500 0.241
Tl: 0.334 0.000 0.028
Tl: 0.402 0.000 0.489
Tl: 0.676 0.500 0.016
Tl: 0.708 0.500 0.523
Tl: 0.819 0.000 0.752
Tl: 0.838 0.000 0.233
O: 0.056 0.000 0.287
O: 0.173 0.000 0.550
O: 0.176 0.500 0.067
O: 0.245 0.000 0.869
O: 0.305 0.500 0.406
O: 0.352 0.000 0.205
O: 0.414 0.500 0.622
O: 0.468 0.500 0.971
O: 0.589 0.000 0.441
O: 0.648 0.000 0.145
O: 0.681 0.500 0.700
O: 0.712 0.000 0.908
O: 0.790 0.500 0.346
O: 0.847 0.000 0.566
O: 0.869 0.500 0.111
O: 0.937 0.500 0.830

***

(10)
For Ba4MgTl8O16, a structure optimized by DFT (GGA-PBE) gives the theoretical X-ray powder pattern in this record (Cu Kα).
No peak broadening, texture or thermal motion is included.

Principal peaks in the range 10 to 80 degrees two-theta, sorted by position:
- 28.45 deg, I = 46
- 28.90 deg, I = 44
- 29.11 deg, I = 70
- 29.94 deg, I = 100
- 30.11 deg, I = 58
- 33.33 deg, I = 19
- 34.01 deg, I = 26
- 42.01 deg, I = 24
- 42.43 deg, I = 19
- 50.97 deg, I = 32
- 52.07 deg, I = 20
- 59.81 deg, I = 23

a = 10.599 Å, b = 3.582 Å, c = 12.551 Å
α = 90.00°, β = 90.47°, γ = 90.00°
Space group Pm (No. 6)
Inequivalent atoms, fractional coordinates:
Ba: 0.000 0.000 0.000
Ba: 0.000 0.500 0.475
Ba: 0.496 0.500 0.693
Ba: 0.508 0.000 0.160
Mg: 0.265 0.000 0.540
Tl: 0.151 0.000 0.751
Tl: 0.180 0.000 0.229
Tl: 0.322 0.500 0.944
Tl: 0.413 0.500 0.400
Tl: 0.682 0.000 0.936
Tl: 0.685 0.000 0.448
Tl: 0.826 0.500 0.226
Tl: 0.828 0.500 0.725
O: 0.041 0.500 0.176
O: 0.119 0.500 0.867
O: 0.167 0.000 0.407
O: 0.225 0.500 0.610
O: 0.269 0.000 0.047
O: 0.330 0.500 0.232
O: 0.351 0.000 0.809
O: 0.455 0.000 0.526
O: 0.540 0.500 0.986
O: 0.620 0.500 0.323
O: 0.676 0.000 0.757
O: 0.736 0.500 0.553
O: 0.766 0.000 0.115
O: 0.829 0.500 0.907
O: 0.865 0.000 0.349
O: 0.964 0.000 0.670

***

Please write out number 8 again, unchanged.
For Ba4MgTl8O16, a structure optimized by DFT (GGA-PBE) gives the theoretical X-ray powder pattern in this record (Cu Kα).
No peak broadening, texture or thermal motion is included.

Principal peaks in the range 10 to 80 degrees two-theta, sorted by position:
- 15.63 deg, I = 26
- 27.12 deg, I = 64
- 27.94 deg, I = 100
- 28.41 deg, I = 62
- 30.04 deg, I = 55
- 30.19 deg, I = 59
- 30.44 deg, I = 81
- 34.22 deg, I = 29
- 41.00 deg, I = 31
- 41.45 deg, I = 29
- 51.28 deg, I = 37
- 52.38 deg, I = 27

a = 11.348 Å, b = 3.493 Å, c = 12.573 Å
α = 90.00°, β = 91.90°, γ = 90.00°
Space group Pm (No. 6)
Inequivalent atoms, fractional coordinates:
Ba: 0.000 0.000 0.000
Ba: 0.013 0.500 0.492
Ba: 0.513 0.000 0.198
Ba: 0.540 0.500 0.654
Mg: 0.461 0.500 0.890
Tl: 0.174 0.500 0.251
Tl: 0.184 0.500 0.730
Tl: 0.292 0.000 0.991
Tl: 0.350 0.000 0.440
Tl: 0.706 0.500 0.441
Tl: 0.724 0.500 0.934
Tl: 0.832 0.000 0.228
Tl: 0.853 0.000 0.720
O: 0.029 0.000 0.652
O: 0.148 0.000 0.372
O: 0.173 0.500 0.942
O: 0.193 0.000 0.142
O: 0.334 0.500 0.549
O: 0.376 0.500 0.312
O: 0.411 0.000 0.835
O: 0.434 0.500 0.042
O: 0.577 0.000 0.491
O: 0.661 0.000 0.817
O: 0.689 0.500 0.260
O: 0.744 0.000 0.048
O: 0.775 0.500 0.619
O: 0.844 0.000 0.409
O: 0.895 0.500 0.855
O: 0.953 0.500 0.178

***

What is the formula in the first record?
Ba2MgTi3Tl2O10

***

Number 4 is which compound?
Ba2MgZrTiO6